Entry 1:
The following is a simulated powder diffraction line list of AsPd4. It was derived from a DFT-relaxed cell (GGA-PBE, the Materials Project), using λ = 1.5418 Å (Cu Kα).

```
data_AsPd4
_chemical_formula_sum 'As2 Pd8'
_cell_length_a 3.098
_cell_length_b 3.098
_cell_length_c 16.403
_cell_angle_alpha 90.00
_cell_angle_beta 90.00
_cell_angle_gamma 90.00
_symmetry_space_group_name_H-M 'I 4/m m m'
_symmetry_Int_Tables_number 139
_symmetry_space_group_name_Hall '-I 4 2'
loop_
_atom_site_label
_atom_site_type_symbol
_atom_site_fract_x
_atom_site_fract_y
_atom_site_fract_z
As1 As 0.000 0.000 0.000
Pd1 Pd 0.000 0.000 0.199
Pd2 Pd 0.000 0.000 0.409
```

Main lines, in order of rising 2θ (5 to 70 degrees two-theta):
h k l  2θ (°)  intensity
1 0 3  33.24  3
1 0 5  40.03  100
1 1 0  41.21  48
0 0 10  56.07  8
2 0 0  59.70  16
1 1 8  62.00  2

Entry 2:
The following is a simulated powder diffraction line list of CeSe2. It was derived from a DFT-relaxed cell (GGA-PBE, the Materials Project), using λ = 1.5418 Å (Cu Kα).

```
data_CeSe2
_chemical_formula_sum 'Ce4 Se8'
_cell_length_a 4.087
_cell_length_b 48.946
_cell_length_c 7.041
_cell_angle_alpha 90.00
_cell_angle_beta 90.00
_cell_angle_gamma 90.00
_symmetry_space_group_name_H-M 'F m m 2'
_symmetry_Int_Tables_number 42
_symmetry_space_group_name_Hall 'F 2 -2'
loop_
_atom_site_label
_atom_site_type_symbol
_atom_site_fract_x
_atom_site_fract_y
_atom_site_fract_z
Ce1 Ce 0.000 0.000 0.000
Se1 Se 0.000 0.035 0.665
```

Main lines, in order of rising 2θ (5 to 70 degrees two-theta):
h k l  2θ (°)  intensity
0 4 0  7.22  100
0 6 0  10.85  24
0 0 2  25.27  12
1 11 1  32.34  11
1 13 1  34.81  12
1 1 3  44.53  11

Entry 3:
The following is a simulated powder diffraction line list of NaNdB6O13. It was derived from a DFT-relaxed cell (GGA-PBE, the Materials Project), using λ = 1.5418 Å (Cu Kα).

```
data_NaNdB6O13
_chemical_formula_sum 'Na2 Nd2 B12 O26'
_cell_length_a 6.758
_cell_length_b 7.410
_cell_length_c 10.473
_cell_angle_alpha 87.33
_cell_angle_beta 74.72
_cell_angle_gamma 77.78
_symmetry_space_group_name_H-M 'P -1'
_symmetry_Int_Tables_number 2
_symmetry_space_group_name_Hall '-P 1'
loop_
_atom_site_label
_atom_site_type_symbol
_atom_site_fract_x
_atom_site_fract_y
_atom_site_fract_z
Na1 Na 0.164 0.013 0.141
Nd1 Nd 0.282 0.257 0.443
B1 B 0.113 0.465 0.161
B2 B 0.150 0.249 0.756
B3 B 0.188 0.649 0.328
B4 B 0.223 0.752 0.547
B5 B 0.347 0.958 0.835
B6 B 0.442 0.849 0.324
O1 O 0.016 0.825 0.628
O2 O 0.028 0.246 0.657
O3 O 0.052 0.400 0.850
O4 O 0.161 0.071 0.829
O5 O 0.191 0.315 0.077
O6 O 0.215 0.599 0.461
O7 O 0.216 0.468 0.261
O8 O 0.317 0.901 0.463
O9 O 0.331 0.760 0.255
O10 O 0.345 0.845 0.941
O11 O 0.357 0.263 0.669
O12 O 0.360 0.690 0.631
O13 O 0.464 0.033 0.259
```

Main lines, in order of rising 2θ (5 to 70 degrees two-theta):
h k l  2θ (°)  intensity
0 0 1  8.75  100
1 1 0  16.51  23
1 1 1  16.98  14
0 2 -1  26.06  12
0 2 1  26.23  11
0 1 3  29.37  12

Entry 4:
The following is a simulated powder diffraction line list of MgSi2. It was derived from a DFT-relaxed cell (GGA-PBE, the Materials Project), using λ = 1.5418 Å (Cu Kα).

```
data_MgSi2
_chemical_formula_sum 'Mg4 Si8'
_cell_length_a 3.740
_cell_length_b 5.768
_cell_length_c 11.103
_cell_angle_alpha 95.10
_cell_angle_beta 98.72
_cell_angle_gamma 108.60
_symmetry_space_group_name_H-M 'P 1'
_symmetry_Int_Tables_number 1
_symmetry_space_group_name_Hall 'P 1'
loop_
_atom_site_label
_atom_site_type_symbol
_atom_site_fract_x
_atom_site_fract_y
_atom_site_fract_z
Mg1 Mg 0.000 0.000 0.000
Mg2 Mg 0.035 0.733 0.456
Mg3 Mg 0.525 0.520 0.658
Mg4 Mg 0.576 0.009 0.250
Si1 Si 0.207 0.578 0.870
Si2 Si 0.229 0.887 0.731
Si3 Si 0.242 0.371 0.209
Si4 Si 0.316 0.324 0.423
Si5 Si 0.694 0.445 0.980
Si6 Si 0.757 0.127 0.509
Si7 Si 0.864 0.641 0.189
Si8 Si 0.867 0.163 0.735
```

Main lines, in order of rising 2θ (5 to 70 degrees two-theta):
h k l  2θ (°)  intensity
0 0 4  33.00  99
1 1 -1  34.27  100
1 -2 0  34.45  66
1 -2 1  35.49  79
1 -2 2  38.35  58
-2 1 1  48.69  79

Entry 5:
The following is a simulated powder diffraction line list of Pm2CoIr. It was derived from a DFT-relaxed cell (GGA-PBE, the Materials Project), using λ = 1.5418 Å (Cu Kα).

```
data_Pm2CoIr
_chemical_formula_sum 'Pm8 Co4 Ir4'
_cell_length_a 6.992
_cell_length_b 6.992
_cell_length_c 6.992
_cell_angle_alpha 90.00
_cell_angle_beta 90.00
_cell_angle_gamma 90.00
_symmetry_space_group_name_H-M 'F m -3 m'
_symmetry_Int_Tables_number 225
_symmetry_space_group_name_Hall '-F 4 2 3'
loop_
_atom_site_label
_atom_site_type_symbol
_atom_site_fract_x
_atom_site_fract_y
_atom_site_fract_z
Pm1 Pm 0.250 0.250 0.250
Co1 Co 0.000 0.000 0.000
Ir1 Ir 0.000 0.000 0.500
```

Main lines, in order of rising 2θ (5 to 70 degrees two-theta):
h k l  2θ (°)  intensity
1 1 1  22.02  12
2 2 0  36.34  100
3 1 1  42.90  7
4 0 0  52.34  18
3 3 1  57.45  3
4 2 2  65.39  36